(1)
Diffraction record for PmU2Re9. The X-ray powder pattern is computed, not measured: it uses a structure optimized by DFT (PBE) and λ = 1.5418 Å (Cu Kα).

Main lines, by angle (10 to 80 degrees two-theta):
two_theta  d [Å]  Rel. int.
30.12  2.967  10.3
32.74  2.736  10.2
34.11  2.629  17.8
39.55  2.279  100.0
39.73  2.269  19.2
41.34  2.184  10.6
41.82  2.160  10.3
43.03  2.102  20.9
64.73  1.440  18.6
71.81  1.315  25.5

Lattice parameters (Å, degrees): 5.2576 5.2576 27.3781 90.00 90.00 120.00
Space group R-3m (No. 166, hexagonal axes)
Asymmetric unit:
Pm1 0.0000 0.0000 0.0000 (multiplicity 3)
U1 0.0000 0.0000 0.1483 (multiplicity 6)
Re1 0.0000 0.0000 0.3352 (multiplicity 6)
Re2 0.0000 0.0000 0.5000 (multiplicity 3)
Re3 0.0042 0.5021 0.9171 (multiplicity 18)

***

(2)
Diffraction record for SmDy2Y2Ho2. The X-ray powder pattern is computed, not measured: it uses a structure optimized by DFT (PBE) and λ = 1.5418 Å (Cu Kα).

Main lines, by angle (10 to 80 degrees two-theta):
two_theta  d [Å]  Rel. int.
10.86  8.143  4.3
31.46  2.844  99.7
31.58  2.833  100.0
45.18  2.007  36.7
55.92  1.644  19.1
56.19  1.637  57.9
65.66  1.422  12.0
65.95  1.416  12.0
74.69  1.271  15.8
74.89  1.268  16.3

Lattice parameters (Å, degrees): 5.6659 5.6659 24.4297 90.00 90.00 120.00
Space group R-3m (No. 166, hexagonal axes)
Asymmetric unit:
Sm1 0.0000 0.0000 0.0000 (multiplicity 3)
Dy1 0.0000 0.0000 0.2816 (multiplicity 6)
Y1 0.0000 0.0000 0.1412 (multiplicity 6)
Ho1 0.0000 0.0000 0.4269 (multiplicity 6)

***

(3)
Diffraction record for CsTmNb6Br18. The X-ray powder pattern is computed, not measured: it uses a structure optimized by DFT (PBE) and λ = 1.5418 Å (Cu Kα).

Main lines, by angle (10 to 80 degrees two-theta):
two_theta  d [Å]  Rel. int.
10.29  8.596  69.6
14.08  6.288  73.3
20.32  4.370  38.4
29.12  3.067  55.1
31.13  2.873  90.5
33.75  2.656  100.0
34.31  2.614  42.0
36.88  2.437  45.3
48.53  1.876  34.3
48.80  1.866  38.8

Lattice parameters (Å, degrees): 9.9262 9.9262 18.4458 90.00 90.00 120.00
Space group P-31c (No. 163)
Asymmetric unit:
Cs1 0.3333 0.6667 0.2500 (multiplicity 2)
Tm1 0.3333 0.6667 0.7500 (multiplicity 2)
Nb1 0.0401 0.1886 0.5653 (multiplicity 12)
Br1 0.0481 0.2322 0.3400 (multiplicity 12)
Br2 0.0895 0.4496 0.6628 (multiplicity 12)
Br3 0.1363 0.4149 0.0009 (multiplicity 12)

***

(4)
Diffraction record for Pr4PuH10. The X-ray powder pattern is computed, not measured: it uses a structure optimized by DFT (PBE) and λ = 1.5418 Å (Cu Kα).

Main lines, by angle (10 to 80 degrees two-theta):
two_theta  d [Å]  Rel. int.
11.15  7.935  2.7
26.58  3.354  1.1
28.14  3.171  100.0
32.60  2.746  49.2
46.78  1.942  38.7
55.48  1.656  45.5
58.18  1.586  12.9
68.30  1.373  6.2
75.43  1.260  18.3
77.76  1.228  16.7

Lattice parameters (Å, degrees): 3.8824 3.8824 47.6114 90.00 90.00 120.00
Space group R-3m (No. 166, hexagonal axes)
Asymmetric unit:
Pr1 0.0000 0.0000 0.1011 (multiplicity 6)
Pr2 0.0000 0.0000 0.2997 (multiplicity 6)
Pu1 0.0000 0.0000 0.5000 (multiplicity 3)
H1 0.0000 0.0000 0.0508 (multiplicity 6)
H2 0.0000 0.0000 0.1516 (multiplicity 6)
H3 0.0000 0.0000 0.2494 (multiplicity 6)
H4 0.0000 0.0000 0.3499 (multiplicity 6)
H5 0.0000 0.0000 0.4516 (multiplicity 6)